This entry pairs a crystal structure of V7Pt16Rh6 with its calculated powder diffraction line list. Radiation: Cu Kα (weighted mean of Kα1 and Kα2). Structure: a PBE-relaxed structure.
Peak positions follow from Bragg's law for the DFT cell and can differ from measured ones.

Largest 8 diffraction maxima, in order of falling intensity, 2θ from 10° to 90°:
two_theta	I_rel
42.02	100
38.46	76
29.37	47
44.04	28
78.19	23
74.40	16
65.07	15
70.54	15

Cell: 12.163 12.163 12.163 Å, 90.00 90.00 90.00°
Space group Fm-3m (No. 225)
Symmetry-distinct sites (fractional):
V 0.000 0.000 0.000 [4 per cell]
V 0.000 0.250 0.250 [24 per cell]
Pt 0.118 0.118 0.118 [32 per cell]
Pt 0.160 0.160 0.340 [32 per cell]
Rh 0.000 0.000 0.305 [24 per cell]

This entry pairs a crystal structure of Li3Ga4Ir with its calculated powder diffraction line list. Radiation: Cu Kα (weighted mean of Kα1 and Kα2). Structure: a PBE-relaxed structure.
Peak positions follow from Bragg's law for the DFT cell and can differ from measured ones.

Largest 8 diffraction maxima, in order of falling intensity, 2θ from 10° to 90°:
two_theta	I_rel
42.02	100
21.52	77
41.00	54
14.89	45
75.39	35
30.34	32
32.46	27
46.77	20

Cell: 12.681 4.402 4.402 Å, 90.00 110.26 90.00°
Space group C2/m (No. 12)
Symmetry-distinct sites (fractional):
Li 0.000 0.000 0.000 [2 per cell]
Li 0.238 0.500 0.736 [4 per cell]
Ga 0.124 0.000 0.628 [4 per cell]
Ga 0.124 0.500 0.124 [4 per cell]
Ir 0.000 0.500 0.500 [2 per cell]